This entry pairs a crystal structure of Cs2CrHgF6 with its simulated X-ray diffraction stick pattern. Radiation: Cu Kα, 1.54184 Å. Structure: a DFT-relaxed cell (PBE+U, the Materials Project).
Kinematic intensities with the Lorentz-polarization factor, no thermal factor.

Main lines, in order of rising 2θ (2θ = 10–90°):
16.26 deg, d 5.450, intensity 9; 26.71 deg, d 3.337, intensity 100; 31.43 deg, d 2.846, intensity 13; 38.14 deg, d 2.360, intensity 29; 41.71 deg, d 2.165, intensity 10; 47.17 deg, d 1.927, intensity 38; 55.03 deg, d 1.669, intensity 18; 62.20 deg, d 1.492, intensity 22; 75.35 deg, d 1.261, intensity 23; 87.74 deg, d 1.112, intensity 11

Crystal structure
```
data_Cs2CrHgF6
_space_group_name_H-M_alt 'P 1'
_space_group_IT_number 1
_space_group_name_Hall 'P 1'
_cell_length_a 6.6744
_cell_length_b 6.6744
_cell_length_c 6.6744
_cell_angle_alpha 60.00
_cell_angle_beta 60.00
_cell_angle_gamma 60.00
loop_
_atom_site_label
_atom_site_type_symbol
_atom_site_fract_x
_atom_site_fract_y
_atom_site_fract_z
Cs1 Cs 0.2500 0.2500 0.2500
Cs2 Cs 0.7500 0.7500 0.7500
Cr1 Cr 0.0000 0.0000 0.0000
Hg1 Hg 0.5000 0.5000 0.5000
F1 F 0.1977 0.1977 0.8023
F2 F 0.1977 0.8023 0.1977
F3 F 0.1977 0.8023 0.8023
F4 F 0.8023 0.1977 0.1977
F5 F 0.8023 0.1977 0.8023
F6 F 0.8023 0.8023 0.1977
```